No. 1
Computed powder diffractogram
Compound: Tb3Pm2Pr4
Radiation: a wavelength of 1.5418 Å
Structure: a cell relaxed with PBE

Principal peaks in the range 10° ≤ 2θ ≤ 80°, by angle:
Position (°2θ)	d/Å	intensity
28.22	3.162	47
29.52	3.026	49
31.19	2.868	66
32.75	2.735	100
41.30	2.186	31
49.96	1.826	38
55.46	1.657	31
59.10	1.563	42
61.03	1.518	18
77.86	1.227	11

Crystal structure
a b c (Å): 3.6511 3.6511 27.2350
angles (deg): 90.00 90.00 120.00
Fractional coordinates of all 9 atoms:
Tb 0.0000 0.0000 0.0000
Tb 0.0000 0.0000 0.3404
Tb 0.6667 0.3333 0.6721
Pm 0.6667 0.3333 0.1038
Pm 0.6667 0.3333 0.8925
Pr 0.0000 0.0000 0.5640
Pr 0.0000 0.0000 0.7808
Pr 0.6667 0.3333 0.2349
Pr 0.6667 0.3333 0.4496

---

No. 2
Computed powder diffractogram
Compound: Cs3CaTh3Se8
Radiation: a wavelength of 1.5418 Å
Structure: a cell relaxed with PBE

Principal peaks in the range 10° ≤ 2θ ≤ 80°, by angle:
Position (°2θ)	d/Å	intensity
10.39	8.516	35
13.69	6.467	18
24.75	3.597	11
27.59	3.233	100
34.29	2.615	14
36.98	2.431	34
41.73	2.165	36
45.95	1.975	10
50.76	1.799	18
67.73	1.383	16

Crystal structure
a b c (Å): 9.8750 9.8750 9.8750
angles (deg): 52.00 52.00 52.00
Fractional coordinates of all 15 atoms:
Cs 0.0000 0.5000 0.5000
Cs 0.5000 0.0000 0.5000
Cs 0.5000 0.5000 0.0000
Ca 0.5000 0.5000 0.5000
Th 0.0000 0.0000 0.5000
Th 0.0000 0.5000 0.0000
Th 0.5000 0.0000 0.0000
Se 0.2199 0.7330 0.7330
Se 0.2308 0.2308 0.2308
Se 0.2670 0.2670 0.7801
Se 0.2670 0.7801 0.2670
Se 0.7330 0.2199 0.7330
Se 0.7330 0.7330 0.2199
Se 0.7692 0.7692 0.7692
Se 0.7801 0.2670 0.2670

---

No. 3
Computed powder diffractogram
Compound: Ac2PmHo2
Radiation: a wavelength of 1.5418 Å
Structure: a cell relaxed with PBE

Principal peaks in the range 10° ≤ 2θ ≤ 80°, by angle:
Position (°2θ)	d/Å	intensity
24.09	3.695	100
28.54	3.128	72
30.93	2.891	28
31.46	2.843	80
31.61	2.830	81
34.13	2.627	28
34.20	2.622	27
39.74	2.268	15
47.30	1.922	24
52.29	1.749	13

Crystal structure
a b c (Å): 8.5274 8.5274 6.3669
angles (deg): 111.64 111.64 69.61
Fractional coordinates of all 10 atoms:
Ac 0.1295 0.3686 0.2352
Ac 0.3686 0.1295 0.7352
Ac 0.6314 0.8705 0.2648
Ac 0.8705 0.6314 0.7648
Pm 0.4157 0.5843 0.7500
Pm 0.5843 0.4157 0.2500
Ho 0.0805 0.9195 0.7500
Ho 0.2480 0.7520 0.2500
Ho 0.7520 0.2480 0.7500
Ho 0.9195 0.0805 0.2500

---

No. 4
Computed powder diffractogram
Compound: Dy12ErCd6
Radiation: a wavelength of 1.5418 Å
Structure: a cell relaxed with PBE

Principal peaks in the range 10° ≤ 2θ ≤ 80°, by angle:
Position (°2θ)	d/Å	intensity
24.91	3.574	27
31.73	2.820	63
33.06	2.710	42
33.70	2.659	100
34.43	2.605	80
35.37	2.538	45
36.81	2.442	19
55.81	1.647	15
59.17	1.562	14
62.43	1.488	17

Crystal structure
a b c (Å): 8.1454 8.1454 8.1454
angles (deg): 87.41 87.41 87.41
Fractional coordinates of all 19 atoms:
Dy 0.0376 0.3012 0.9361
Dy 0.0639 0.9624 0.6988
Dy 0.1263 0.3372 0.4770
Dy 0.3012 0.9361 0.0376
Dy 0.3372 0.4770 0.1263
Dy 0.4770 0.1263 0.3372
Dy 0.5230 0.8737 0.6628
Dy 0.6628 0.5230 0.8737
Dy 0.6988 0.0639 0.9624
Dy 0.8737 0.6628 0.5230
Dy 0.9361 0.0376 0.3012
Dy 0.9624 0.6988 0.0639
Er 0.5000 0.5000 0.5000
Cd 0.2308 0.7668 0.3896
Cd 0.2332 0.6104 0.7692
Cd 0.3896 0.2308 0.7668
Cd 0.6104 0.7692 0.2332
Cd 0.7668 0.3896 0.2308
Cd 0.7692 0.2332 0.6104